Computed X-ray powder pattern
Compound: RbYSnS4
Radiation: Cu Kα
Structure: the PBE geometry in Alexandria

Top 10 peaks for 2θ = 10–90°, low angle first:
10.07°, I = 100, (0 0 1)
16.20°, I = 69, (0 1 1)
19.44°, I = 41, (1 0 1)
23.92°, I = 56, (0 1 2)
24.24°, I = 36, (1 1 -2)
25.47°, I = 88, (0 2 0)
29.26°, I = 53, (2 1 -1)
30.75°, I = 82, (1 1 2)
31.49°, I = 91, (2 1 -2)
37.91°, I = 58, (2 2 0)

Atomic structure:
```
RbYSnS4
1.0
6.8037 0.0000 0.0000
0.0000 6.9955 0.0000
-2.8982 0.0000 8.7842
Rb Y Sn S
2 2 2 8
Direct
0.2372 0.2500 0.4445
0.7628 0.7500 0.5555
0.2904 0.2500 0.9517
0.7096 0.7500 0.0483
0.2546 0.7500 0.1601
0.7454 0.2500 0.8399
0.0138 0.7500 0.9105
0.0442 0.7500 0.3219
0.4926 0.5059 0.8052
0.4926 0.9941 0.8052
0.5074 0.0059 0.1948
0.5074 0.4941 0.1948
0.9558 0.2500 0.6781
0.9862 0.2500 0.0895
```